Calculated powder X-ray diffraction pattern of RbPa2AsN5 for Cu Kα (weighted mean of Kα1 and Kα2), from a crystal structure in Alexandria, relaxed with GGA-PBE.
Lines closer than 0.1° are merged.

Crystal structure
Unit cell a=7.4192 b=7.4192 c=7.4192 alpha=125.67 beta=125.67 gamma=80.42
Fractional coordinates of all 18 atoms:
1 Rb 0.2500 0.2500 0.0000
2 Rb 0.7500 0.7500 0.0000
3 Pa 0.1907 0.6907 0.8814
4 Pa 0.3093 0.1907 0.5000
5 Pa 0.6907 0.8093 0.5000
6 Pa 0.8093 0.3093 0.1186
7 As 0.2500 0.7500 0.5000
8 As 0.7500 0.2500 0.5000
9 N 0.0000 0.0000 0.0000
10 N 0.0019 0.2309 0.5000
11 N 0.2309 0.7309 0.2291
12 N 0.2691 0.4981 0.5000
13 N 0.4981 0.9981 0.2291
14 N 0.5000 0.5000 0.0000
15 N 0.5019 0.0019 0.7709
16 N 0.7309 0.5019 0.5000
17 N 0.7691 0.2691 0.7709
18 N 0.9981 0.7691 0.5000

Peak list (10 most intense, 2θ = 15–90°, sorted by position)
15.6°, d = 5.666 Å, rel. 45
30.5°, d = 2.927 Å, rel. 58
30.8°, d = 2.907 Å, rel. 100
31.6°, d = 2.833 Å, rel. 33
37.6°, d = 2.395 Å, rel. 23
38.1°, d = 2.363 Å, rel. 49
49.9°, d = 1.829 Å, rel. 20
50.3°, d = 1.815 Å, rel. 21
56.6°, d = 1.626 Å, rel. 27
61.6°, d = 1.507 Å, rel. 23



Calculated powder X-ray diffraction pattern of PaSnAsN for Cu Kα (weighted mean of Kα1 and Kα2), from a crystal structure in Alexandria, relaxed with GGA-PBE.
Lines closer than 0.1° are merged.

Crystal structure
Unit cell a=12.9543 b=12.9543 c=12.9543 alpha=17.53 beta=17.53 gamma=17.53
Fractional coordinates of all 8 atoms:
1 Pa 0.1303 0.1303 0.1303
2 Pa 0.8697 0.8697 0.8697
3 Sn 0.2995 0.2995 0.2995
4 Sn 0.7005 0.7005 0.7005
5 As 0.4109 0.4109 0.4109
6 As 0.5891 0.5891 0.5891
7 N 0.1885 0.1885 0.1885
8 N 0.8115 0.8115 0.8115

Peak list (10 most intense, 2θ = 15–90°, sorted by position)
27.7°, d = 3.220 Å, rel. 61
28.0°, d = 3.188 Å, rel. 21
28.6°, d = 3.122 Å, rel. 28
30.8°, d = 2.899 Å, rel. 100
36.9°, d = 2.438 Å, rel. 50
46.0°, d = 1.974 Å, rel. 55
54.7°, d = 1.678 Å, rel. 21
56.4°, d = 1.632 Å, rel. 19
64.4°, d = 1.446 Å, rel. 18
75.6°, d = 1.258 Å, rel. 16



Calculated powder X-ray diffraction pattern of TbPa2AsN5 for Cu Kα (weighted mean of Kα1 and Kα2), from a crystal structure in Alexandria, relaxed with GGA-PBE.
Lines closer than 0.1° are merged.

Crystal structure
Unit cell a=8.3958 b=8.3958 c=10.3490 alpha=90.00 beta=90.00 gamma=157.00
Fractional coordinates of all 18 atoms:
1 Tb 0.1695 0.8305 0.5000
2 Tb 0.8305 0.1695 0.0000
3 Pa 0.1534 0.8466 0.8413
4 Pa 0.1759 0.8241 0.1700
5 Pa 0.8241 0.1759 0.6700
6 Pa 0.8466 0.1534 0.3413
7 As 0.4963 0.5037 0.4910
8 As 0.5037 0.4963 0.9910
9 N 0.0526 0.9474 0.0605
10 N 0.3052 0.6948 0.8265
11 N 0.3057 0.6943 0.5106
12 N 0.3095 0.6905 0.1711
13 N 0.4404 0.5596 0.3381
14 N 0.5596 0.4404 0.8381
15 N 0.6905 0.3095 0.6711
16 N 0.6943 0.3057 0.0106
17 N 0.6948 0.3052 0.3265
18 N 0.9474 0.0526 0.5605

Peak list (10 most intense, 2θ = 15–90°, sorted by position)
27.2°, d = 3.280 Å, rel. 16
28.0°, d = 3.181 Å, rel. 81
31.3°, d = 2.857 Å, rel. 100
32.7°, d = 2.742 Å, rel. 47
33.9°, d = 2.643 Å, rel. 43
37.8°, d = 2.377 Å, rel. 92
46.8°, d = 1.940 Å, rel. 45
54.6°, d = 1.680 Å, rel. 26
62.7°, d = 1.481 Å, rel. 18
62.9°, d = 1.477 Å, rel. 29